The following is a theoretical powder XRD pattern of Ca3Pd4Au4. It was derived from a structure optimized by DFT (GGA-PBE), using copper Kα.
Lines closer than 0.1° are merged.

Atomic structure:
a = 8.0410 Å, b = 8.0410 Å, c = 8.0410 Å
α = 90.00°, β = 90.00°, γ = 90.00°
Space group I-43m (No. 217)
Unique sites:
Ca 0.0000 0.0000 0.5000
Pd 0.1201 0.1201 0.1201
Au 0.1980 0.1980 0.8020

Principal peaks in the range 10 to 90 degrees two-theta, low angle first:
d = 5.686 Å, 15.6 deg, I = 78
d = 4.021 Å, 22.1 deg, I = 52
d = 3.283 Å, 27.2 deg, I = 34
d = 2.843 Å, 31.5 deg, I = 79
d = 2.543 Å, 35.3 deg, I = 61
d = 2.149 Å, 42.0 deg, I = 89
d = 1.895 Å, 48.0 deg, I = 100
d = 1.304 Å, 72.5 deg, I = 49
d = 1.137 Å, 85.4 deg, I = 22
d = 1.094 Å, 89.6 deg, I = 30

The following is a theoretical powder XRD pattern of BaMgTiF7. It was derived from a structure optimized by DFT (GGA-PBE), using copper Kα.
Lines closer than 0.1° are merged.

Atomic structure:
a = 5.7238 Å, b = 10.0448 Å, c = 9.7000 Å
α = 90.00°, β = 92.72°, γ = 90.00°
Space group P2_1/c (No. 14)
Unique sites:
Ba 0.2306 0.1794 0.0004
Mg 0.1915 0.6047 0.8098
Ti 0.3061 0.6110 0.1887
F 0.0238 0.7163 0.2524
F 0.1101 0.5409 0.6262
F 0.1265 0.0523 0.6291
F 0.2399 0.6874 0.0029
F 0.3802 0.0497 0.3716
F 0.3900 0.5472 0.3689
F 0.4696 0.7158 0.7478

Principal peaks in the range 10 to 90 degrees two-theta, low angle first:
d = 3.549 Å, 25.1 deg, I = 100
d = 3.482 Å, 25.6 deg, I = 33
d = 3.399 Å, 26.2 deg, I = 53
d = 3.075 Å, 29.0 deg, I = 18
d = 2.859 Å, 31.3 deg, I = 18
d = 2.248 Å, 40.1 deg, I = 34
d = 2.228 Å, 40.5 deg, I = 44
d = 2.182 Å, 41.4 deg, I = 26
d = 1.766 Å, 51.8 deg, I = 18
d = 1.702 Å, 53.9 deg, I = 18

The following is a theoretical powder XRD pattern of PmAlAgPt. It was derived from a structure optimized by DFT (GGA-PBE), using copper Kα.
Lines closer than 0.1° are merged.

Atomic structure:
a = 6.8472 Å, b = 6.8472 Å, c = 6.8472 Å
α = 90.00°, β = 90.00°, γ = 90.00°
Space group F-43m (No. 216)
Unique sites:
Pm 0.0000 0.0000 0.0000
Al 0.0000 0.0000 0.5000
Ag 0.2500 0.2500 0.7500
Pt 0.2500 0.2500 0.2500

Principal peaks in the range 10 to 90 degrees two-theta, low angle first:
d = 3.953 Å, 22.5 deg, I = 21
d = 3.424 Å, 26.0 deg, I = 9
d = 2.421 Å, 37.1 deg, I = 100
d = 2.065 Å, 43.9 deg, I = 12
d = 1.712 Å, 53.5 deg, I = 17
d = 1.571 Å, 58.8 deg, I = 5
d = 1.398 Å, 66.9 deg, I = 35
d = 1.318 Å, 71.6 deg, I = 4
d = 1.210 Å, 79.1 deg, I = 11
d = 1.157 Å, 83.5 deg, I = 4

The following is a theoretical powder XRD pattern of Cs3NaCa2F9. It was derived from a structure optimized by DFT (GGA-PBE), using copper Kα.
Lines closer than 0.1° are merged.

Atomic structure:
a = 6.4854 Å, b = 6.4854 Å, c = 8.0105 Å
α = 90.00°, β = 90.00°, γ = 120.00°
Space group P-3m1 (No. 164)
Unique sites:
Cs 0.0000 0.0000 0.0000
Cs 0.3333 0.6667 0.6555
Na 0.0000 0.0000 0.5000
Ca 0.3333 0.6667 0.1597
F 0.0000 0.5000 0.0000
F 0.1705 0.3409 0.3286

Principal peaks in the range 10 to 90 degrees two-theta, low angle first:
d = 4.599 Å, 19.3 deg, I = 56
d = 3.261 Å, 27.3 deg, I = 100
d = 3.243 Å, 27.5 deg, I = 98
d = 2.670 Å, 33.6 deg, I = 21
d = 2.650 Å, 33.8 deg, I = 62
d = 2.299 Å, 39.2 deg, I = 88
d = 1.875 Å, 48.6 deg, I = 61
d = 1.631 Å, 56.4 deg, I = 27
d = 1.621 Å, 56.8 deg, I = 27
d = 1.226 Å, 77.9 deg, I = 21

Number 3 is which compound? PmAlAgPt

Number 2 is which compound? BaMgTiF7